Record 1
Computed powder diffraction line list
Compound: YMgAgTeSe2
Radiation: CuKα
Structure: the GGA-PBE geometry in OQMD
Lines closer than 0.1° are merged.

Top 10 peaks for 2θ = 15–90°, sorted by position:
2θ 24.70, rel. 25
2θ 27.36, rel. 32
2θ 30.97, rel. 24
2θ 32.17, rel. 19
2θ 34.04, rel. 100
2θ 34.82, rel. 10
2θ 43.41, rel. 23
2θ 45.74, rel. 18
2θ 46.87, rel. 15
2θ 47.29, rel. 11

Atomic structure:
a = 7.103 Å, b = 7.103 Å, c = 11.131 Å
α = 90.00°, β = 90.00°, γ = 147.56°
Fractional positions:
Y1 0.000 0.000 0.000
Y2 0.000 0.000 0.500
Mg1 0.205 0.795 0.750
Mg2 0.795 0.205 0.250
Ag1 0.482 0.518 0.250
Ag2 0.518 0.482 0.750
Te1 0.126 0.874 0.250
Te2 0.874 0.126 0.750
Se1 0.357 0.643 0.071
Se2 0.357 0.643 0.429
Se3 0.643 0.357 0.571
Se4 0.643 0.357 0.929

---

Record 2
Computed powder diffraction line list
Compound: Li6Os4O11
Radiation: CuKα
Structure: the GGA-PBE geometry in OQMD
Lines closer than 0.1° are merged.

Top 10 peaks for 2θ = 15–90°, sorted by position:
2θ 18.20, rel. 100
2θ 20.74, rel. 25
2θ 21.39, rel. 18
2θ 24.18, rel. 23
2θ 24.63, rel. 15
2θ 36.40, rel. 29
2θ 36.88, rel. 21
2θ 43.25, rel. 15
2θ 44.48, rel. 14
2θ 44.77, rel. 15

Atomic structure:
a = 4.835 Å, b = 5.069 Å, c = 8.823 Å
α = 76.20°, β = 88.80°, γ = 81.82°
Fractional positions:
Li1 0.000 0.000 0.000
Li2 0.002 0.997 0.356
Li3 0.258 0.493 0.929
Li4 0.496 0.002 0.512
Li5 0.502 0.995 0.846
Li6 0.730 0.488 0.436
Os1 0.207 0.499 0.605
Os2 0.255 0.499 0.242
Os3 0.736 0.504 0.121
Os4 0.781 0.498 0.757
O1 0.098 0.255 0.134
O2 0.122 0.293 0.450
O3 0.131 0.236 0.805
O4 0.346 0.713 0.404
O5 0.374 0.759 0.058
O6 0.397 0.717 0.724
O7 0.592 0.281 0.635
O8 0.628 0.241 0.310
O9 0.643 0.284 0.950
O10 0.860 0.758 0.553
O11 0.870 0.713 0.910

---

What is the formula in the second record?
Li6Os4O11